No. 1
Starting from a crystal structure in Alexandria, relaxed with PBE, the XRD peak list of Nb2Co6Mo was computed for λ = 1.5418 Å (Cu Kα).

Top 8 peaks for 2θ from 10° to 90°, by intensity:
d 2.276, intensity 100; d 2.020, intensity 84; d 1.403, intensity 24; d 1.260, intensity 18; d 1.209, intensity 16; d 1.688, intensity 16; d 2.520, intensity 13; d 1.645, intensity 12

Atomic structure:
```
data_Nb2Co6Mo
_cell_length_a 5.0405
_cell_length_b 5.0405
_cell_length_c 5.3281
_cell_angle_alpha 90.00
_cell_angle_beta 90.00
_cell_angle_gamma 120.00
_space_group_name_H-M_alt 'P 1'
_space_group_IT_number 1
_space_group_name_Hall 'P 1'
loop_
_atom_site_label
_atom_site_fract_x
_atom_site_fract_y
_atom_site_fract_z
Nb1 0.3333 0.6667 0.3487
Nb2 0.6667 0.3333 0.6513
Co1 0.1787 0.3574 0.8293
Co2 0.1787 0.8213 0.8293
Co3 0.3574 0.1787 0.1707
Co4 0.6426 0.8213 0.8293
Co5 0.8213 0.1787 0.1707
Co6 0.8213 0.6426 0.1707
Mo1 0.0000 0.0000 0.5000
```

---

No. 2
Starting from a crystal structure in Alexandria, relaxed with PBE, the XRD peak list of Nb2CoSnMo was computed for λ = 1.5418 Å (Cu Kα).

Top 8 peaks for 2θ from 10° to 90°, by intensity:
d 2.493, intensity 100; d 2.852, intensity 70; d 1.739, intensity 66; d 4.986, intensity 63; d 2.426, intensity 46; d 1.763, intensity 35; d 1.426, intensity 34; d 4.853, intensity 28

Atomic structure:
```
data_Nb2CoSnMo
_cell_length_a 4.9862
_cell_length_b 4.9862
_cell_length_c 4.8529
_cell_angle_alpha 90.00
_cell_angle_beta 90.00
_cell_angle_gamma 90.00
_space_group_name_H-M_alt 'P 1'
_space_group_IT_number 1
_space_group_name_Hall 'P 1'
loop_
_atom_site_label
_atom_site_fract_x
_atom_site_fract_y
_atom_site_fract_z
Nb1 0.0000 0.5000 0.0000
Nb2 0.5000 0.0000 0.0000
Co1 0.0000 0.0000 0.5000
Sn1 0.5000 0.5000 0.0000
Mo1 0.5000 0.5000 0.5000
```

---

No. 3
Starting from a crystal structure in Alexandria, relaxed with PBE, the XRD peak list of Co3Ni4Mo was computed for λ = 1.5418 Å (Cu Kα).

Top 8 peaks for 2θ from 10° to 90°, by intensity:
d 2.062, intensity 100; d 1.763, intensity 30; d 1.271, intensity 18; d 1.835, intensity 17; d 1.098, intensity 11; d 1.247, intensity 9; d 2.860, intensity 2; d 3.428, intensity 2

Atomic structure:
```
data_Co3Ni4Mo
_cell_length_a 7.7507
_cell_length_b 7.7507
_cell_length_c 7.7507
_cell_angle_alpha 153.71
_cell_angle_beta 153.71
_cell_angle_gamma 37.53
_space_group_name_H-M_alt 'P 1'
_space_group_IT_number 1
_space_group_name_Hall 'P 1'
loop_
_atom_site_label
_atom_site_fract_x
_atom_site_fract_y
_atom_site_fract_z
Co1 0.0000 0.0000 0.0000
Co2 0.2467 0.2467 0.0000
Co3 0.7533 0.7533 0.0000
Ni1 0.1278 0.6278 0.5000
Ni2 0.3722 0.8722 0.5000
Ni3 0.6278 0.1278 0.5000
Ni4 0.8722 0.3722 0.5000
Mo1 0.5000 0.5000 0.0000
```

---

No. 4
Starting from a crystal structure in Alexandria, relaxed with PBE, the XRD peak list of Co6NiMo was computed for λ = 1.5418 Å (Cu Kα).

Top 8 peaks for 2θ from 10° to 90°, by intensity:
d 2.058, intensity 100; d 1.783, intensity 46; d 1.260, intensity 22; d 1.262, intensity 4; d 3.565, intensity 2; d 2.521, intensity 1; d 2.797, intensity 1; d 2.605, intensity 1

Atomic structure:
```
data_Co6NiMo
_cell_length_a 6.1784
_cell_length_b 6.1784
_cell_length_c 10.0795
_cell_angle_alpha 90.00
_cell_angle_beta 90.00
_cell_angle_gamma 109.58
_space_group_name_H-M_alt 'P 1'
_space_group_IT_number 1
_space_group_name_Hall 'P 1'
loop_
_atom_site_label
_atom_site_fract_x
_atom_site_fract_y
_atom_site_fract_z
Co1 0.0000 0.0000 0.0000
Co2 0.0000 0.0000 0.5000
Co3 0.1183 0.3722 0.1226
Co4 0.1183 0.3722 0.8774
Co5 0.1230 0.3694 0.3736
Co6 0.1230 0.3694 0.6264
Co7 0.2474 0.7526 0.2455
Co8 0.2474 0.7526 0.7545
Co9 0.3694 0.1230 0.3736
Co10 0.3694 0.1230 0.6264
Co11 0.3722 0.1183 0.1226
Co12 0.3722 0.1183 0.8774
Co13 0.5000 0.5000 0.0000
Co14 0.5000 0.5000 0.5000
Co15 0.6278 0.8817 0.1226
Co16 0.6278 0.8817 0.8774
Co17 0.6306 0.8770 0.3736
Co18 0.6306 0.8770 0.6264
Co19 0.7526 0.2474 0.2455
Co20 0.7526 0.2474 0.7545
Co21 0.8770 0.6306 0.3736
Co22 0.8770 0.6306 0.6264
Co23 0.8817 0.6278 0.1226
Co24 0.8817 0.6278 0.8774
Ni1 0.0000 0.0000 0.2465
Ni2 0.0000 0.0000 0.7535
Ni3 0.2542 0.7458 0.0000
Ni4 0.7458 0.2542 0.0000
Mo1 0.2562 0.7438 0.5000
Mo2 0.5000 0.5000 0.2507
Mo3 0.5000 0.5000 0.7493
Mo4 0.7438 0.2562 0.5000
```

---

What did the fourth record say?
Starting from a crystal structure in Alexandria, relaxed with PBE, the XRD peak list of Co6NiMo was computed for λ = 1.5418 Å (Cu Kα).

Top 8 peaks for 2θ from 10° to 90°, by intensity:
d 2.058, intensity 100; d 1.783, intensity 46; d 1.260, intensity 22; d 1.262, intensity 4; d 3.565, intensity 2; d 2.521, intensity 1; d 2.797, intensity 1; d 2.605, intensity 1

Atomic structure:
```
data_Co6NiMo
_cell_length_a 6.1784
_cell_length_b 6.1784
_cell_length_c 10.0795
_cell_angle_alpha 90.00
_cell_angle_beta 90.00
_cell_angle_gamma 109.58
_space_group_name_H-M_alt 'P 1'
_space_group_IT_number 1
_space_group_name_Hall 'P 1'
loop_
_atom_site_label
_atom_site_fract_x
_atom_site_fract_y
_atom_site_fract_z
Co1 0.0000 0.0000 0.0000
Co2 0.0000 0.0000 0.5000
Co3 0.1183 0.3722 0.1226
Co4 0.1183 0.3722 0.8774
Co5 0.1230 0.3694 0.3736
Co6 0.1230 0.3694 0.6264
Co7 0.2474 0.7526 0.2455
Co8 0.2474 0.7526 0.7545
Co9 0.3694 0.1230 0.3736
Co10 0.3694 0.1230 0.6264
Co11 0.3722 0.1183 0.1226
Co12 0.3722 0.1183 0.8774
Co13 0.5000 0.5000 0.0000
Co14 0.5000 0.5000 0.5000
Co15 0.6278 0.8817 0.1226
Co16 0.6278 0.8817 0.8774
Co17 0.6306 0.8770 0.3736
Co18 0.6306 0.8770 0.6264
Co19 0.7526 0.2474 0.2455
Co20 0.7526 0.2474 0.7545
Co21 0.8770 0.6306 0.3736
Co22 0.8770 0.6306 0.6264
Co23 0.8817 0.6278 0.1226
Co24 0.8817 0.6278 0.8774
Ni1 0.0000 0.0000 0.2465
Ni2 0.0000 0.0000 0.7535
Ni3 0.2542 0.7458 0.0000
Ni4 0.7458 0.2542 0.0000
Mo1 0.2562 0.7438 0.5000
Mo2 0.5000 0.5000 0.2507
Mo3 0.5000 0.5000 0.7493
Mo4 0.7438 0.2562 0.5000
```